(1)
RbAlRe2Bi: calculated X-ray diffraction stick pattern (a wavelength of 1.5418 Å), based on a DFT-relaxed cell (GGA-PBE, Alexandria).

Largest 8 diffraction maxima, low angle first, 10° ≤ 2θ ≤ 90°:
- 15.42 deg, I 100
- 22.99 deg, I 54
- 28.70 deg, I 34
- 31.13 deg, I 43
- 34.28 deg, I 67
- 37.78 deg, I 46
- 46.97 deg, I 56
- 59.43 deg, I 28

Unit cell a=5.232 b=5.232 c=5.747 alpha=90.00 beta=90.00 gamma=90.00
Fractional positions:
Rb 0.000 0.000 0.000
Al 0.500 0.500 0.000
Re 0.000 0.500 0.500
Re 0.500 0.000 0.500
Bi 0.500 0.500 0.500



(2)
AlBi2S5: calculated X-ray diffraction stick pattern (a wavelength of 1.5418 Å), based on a DFT-relaxed cell (GGA-PBE, Alexandria).

Largest 8 diffraction maxima, low angle first, 10° ≤ 2θ ≤ 90°:
- 14.81 deg, I 45
- 17.64 deg, I 100
- 25.86 deg, I 44
- 26.01 deg, I 85
- 28.57 deg, I 42
- 33.02 deg, I 48
- 42.51 deg, I 47
- 44.03 deg, I 49

Unit cell a=7.220 b=7.220 c=11.963 alpha=90.00 beta=90.00 gamma=135.87
Fractional positions:
Al 0.191 0.809 0.750
Al 0.809 0.191 0.250
Bi 0.151 0.849 0.067
Bi 0.151 0.849 0.433
Bi 0.849 0.151 0.567
Bi 0.849 0.151 0.933
S 0.052 0.948 0.631
S 0.052 0.948 0.869
S 0.281 0.719 0.250
S 0.304 0.696 0.596
S 0.304 0.696 0.904
S 0.696 0.304 0.096
S 0.696 0.304 0.404
S 0.719 0.281 0.750
S 0.948 0.052 0.131
S 0.948 0.052 0.369



(3)
ScAl2Bi2: calculated X-ray diffraction stick pattern (a wavelength of 1.5418 Å), based on a DFT-relaxed cell (GGA-PBE, Alexandria).

Largest 8 diffraction maxima, low angle first, 10° ≤ 2θ ≤ 90°:
- 21.35 deg, I 34
- 23.18 deg, I 26
- 25.96 deg, I 57
- 31.71 deg, I 51
- 33.85 deg, I 100
- 37.04 deg, I 22
- 48.93 deg, I 22
- 53.96 deg, I 33

Unit cell a=7.676 b=7.676 c=4.163 alpha=90.00 beta=90.00 gamma=90.00
Fractional positions:
Sc 0.000 0.000 0.000
Sc 0.500 0.500 0.000
Al 0.124 0.376 0.000
Al 0.376 0.876 0.000
Al 0.624 0.124 0.000
Al 0.876 0.624 0.000
Bi 0.179 0.679 0.500
Bi 0.321 0.179 0.500
Bi 0.679 0.821 0.500
Bi 0.821 0.321 0.500



(4)
AlBiSe3: calculated X-ray diffraction stick pattern (a wavelength of 1.5418 Å), based on a DFT-relaxed cell (GGA-PBE, Alexandria).

Largest 8 diffraction maxima, low angle first, 10° ≤ 2θ ≤ 90°:
- 14.49 deg, I 68
- 17.22 deg, I 100
- 26.00 deg, I 83
- 28.01 deg, I 83
- 34.84 deg, I 66
- 35.70 deg, I 61
- 36.54 deg, I 49
- 37.99 deg, I 62

Unit cell a=4.055 b=12.672 c=12.672 alpha=149.61 beta=90.00 gamma=90.00
Fractional positions:
Al 0.250 0.128 0.872
Al 0.750 0.872 0.128
Bi 0.250 0.391 0.731
Bi 0.750 0.731 0.391
Se 0.250 0.059 0.626
Se 0.250 0.456 0.243
Se 0.250 0.768 0.935
Se 0.750 0.243 0.456
Se 0.750 0.626 0.059
Se 0.750 0.935 0.768



(5)
Al2BiSe6: calculated X-ray diffraction stick pattern (a wavelength of 1.5418 Å), based on a DFT-relaxed cell (GGA-PBE, Alexandria).

Largest 8 diffraction maxima, low angle first, 10° ≤ 2θ ≤ 90°:
- 18.50 deg, I 100
- 25.42 deg, I 59
- 27.35 deg, I 58
- 28.88 deg, I 52
- 30.97 deg, I 37
- 32.72 deg, I 36
- 37.70 deg, I 27
- 47.01 deg, I 31

Unit cell a=10.130 b=10.130 c=7.142 alpha=102.11 beta=102.11 gamma=73.55
Fractional positions:
Al 0.187 0.310 0.250
Al 0.310 0.187 0.750
Al 0.690 0.813 0.250
Al 0.813 0.690 0.750
Bi 0.083 0.917 0.250
Bi 0.917 0.083 0.750
Se 0.007 0.180 0.168
Se 0.039 0.535 0.380
Se 0.180 0.007 0.668
Se 0.237 0.385 0.984
Se 0.385 0.237 0.484
Se 0.465 0.961 0.120
Se 0.535 0.039 0.880
Se 0.615 0.763 0.516
Se 0.763 0.615 0.016
Se 0.820 0.993 0.332
Se 0.961 0.465 0.620
Se 0.993 0.820 0.832



(6)
Sr3Al2Bi4: calculated X-ray diffraction stick pattern (a wavelength of 1.5418 Å), based on a DFT-relaxed cell (GGA-PBE, Alexandria).

Largest 8 diffraction maxima, low angle first, 10° ≤ 2θ ≤ 90°:
- 22.61 deg, I 50
- 23.02 deg, I 100
- 23.87 deg, I 74
- 24.06 deg, I 76
- 26.58 deg, I 67
- 30.80 deg, I 39
- 34.68 deg, I 45
- 39.74 deg, I 43

Unit cell a=9.453 b=9.453 c=7.402 alpha=91.37 beta=91.37 gamma=75.80
Fractional positions:
Sr 0.101 0.899 0.750
Sr 0.251 0.499 0.022
Sr 0.499 0.251 0.522
Sr 0.501 0.749 0.478
Sr 0.749 0.501 0.978
Sr 0.899 0.101 0.250
Al 0.083 0.329 0.579
Al 0.329 0.083 0.079
Al 0.671 0.917 0.921
Al 0.917 0.671 0.421
Bi 0.065 0.243 0.931
Bi 0.217 0.562 0.522
Bi 0.243 0.065 0.431
Bi 0.438 0.783 0.978
Bi 0.562 0.217 0.022
Bi 0.757 0.935 0.569
Bi 0.783 0.438 0.478
Bi 0.935 0.757 0.069



(7)
Sr3AlBi3: calculated X-ray diffraction stick pattern (a wavelength of 1.5418 Å), based on a DFT-relaxed cell (GGA-PBE, Alexandria).

Largest 8 diffraction maxima, low angle first, 10° ≤ 2θ ≤ 90°:
- 21.93 deg, I 97
- 25.11 deg, I 80
- 25.38 deg, I 100
- 25.62 deg, I 97
- 36.00 deg, I 71
- 36.18 deg, I 79
- 36.37 deg, I 86
- 44.71 deg, I 65

Unit cell a=11.110 b=11.110 c=13.910 alpha=90.00 beta=90.00 gamma=37.22
Fractional positions:
Sr 0.025 0.624 0.127
Sr 0.124 0.525 0.627
Sr 0.194 0.806 0.857
Sr 0.306 0.694 0.357
Sr 0.376 0.975 0.127
Sr 0.475 0.876 0.627
Sr 0.525 0.124 0.373
Sr 0.624 0.025 0.873
Sr 0.694 0.306 0.643
Sr 0.806 0.194 0.143
Sr 0.876 0.475 0.373
Sr 0.975 0.376 0.873
Al 0.087 0.087 0.500
Al 0.413 0.413 0.000
Al 0.587 0.587 0.000
Al 0.913 0.913 0.500
Bi 0.054 0.623 0.375
Bi 0.123 0.554 0.875
Bi 0.214 0.786 0.611
Bi 0.286 0.714 0.111
Bi 0.377 0.946 0.375
Bi 0.446 0.877 0.875
Bi 0.554 0.123 0.125
Bi 0.623 0.054 0.625
Bi 0.714 0.286 0.889
Bi 0.786 0.214 0.389
Bi 0.877 0.446 0.125
Bi 0.946 0.377 0.625



(8)
Sr2AlBi5: calculated X-ray diffraction stick pattern (a wavelength of 1.5418 Å), based on a DFT-relaxed cell (GGA-PBE, Alexandria).

Largest 8 diffraction maxima, low angle first, 10° ≤ 2θ ≤ 90°:
- 30.74 deg, I 100
- 35.16 deg, I 17
- 35.89 deg, I 34
- 51.12 deg, I 24
- 51.66 deg, I 12
- 60.36 deg, I 15
- 61.33 deg, I 29
- 64.03 deg, I 12

Unit cell a=7.148 b=7.148 c=7.148 alpha=120.66 beta=120.66 gamma=88.87
Fractional positions:
Sr 0.000 0.500 0.500
Sr 0.500 0.000 0.500
Al 0.440 0.440 0.000
Bi 0.000 0.000 0.501
Bi 0.000 0.500 0.000
Bi 0.500 0.000 0.000
Bi 0.500 0.500 0.499
Bi 0.997 0.997 0.000



(9)
Sr4AlBi4: calculated X-ray diffraction stick pattern (a wavelength of 1.5418 Å), based on a DFT-relaxed cell (GGA-PBE, Alexandria).

Largest 8 diffraction maxima, low angle first, 10° ≤ 2θ ≤ 90°:
- 22.08 deg, I 47
- 25.17 deg, I 41
- 25.74 deg, I 100
- 36.31 deg, I 70
- 36.72 deg, I 43
- 45.04 deg, I 34
- 59.45 deg, I 19
- 65.85 deg, I 29

Unit cell a=9.790 b=9.790 c=7.076 alpha=90.00 beta=90.00 gamma=90.00
Fractional positions:
Sr 0.012 0.250 0.050
Sr 0.250 0.012 0.550
Sr 0.250 0.488 0.550
Sr 0.488 0.250 0.050
Sr 0.512 0.750 0.950
Sr 0.750 0.512 0.450
Sr 0.750 0.988 0.450
Sr 0.988 0.750 0.950
Al 0.250 0.750 0.250
Al 0.750 0.250 0.750
Bi 0.009 0.750 0.464
Bi 0.250 0.509 0.036
Bi 0.250 0.991 0.036
Bi 0.491 0.750 0.464
Bi 0.509 0.250 0.536
Bi 0.750 0.009 0.964
Bi 0.750 0.491 0.964
Bi 0.991 0.250 0.536